For PrSiNiSn2, DFT lattice parameters and positions (GGA-PBE) gives the calculated powder X-ray diffraction pattern in this record (Cu Kα).
Kinematic intensities with the Lorentz-polarization factor, no thermal factor.

Top 6 peaks for 2θ = 5–70°, in order of falling intensity:
2θ (°)  d_spacing  Rel. int.
31.2  2.863  100
41.0  2.201  43
40.1  2.249  38
41.7  2.164  32
35.0  2.562  29
31.1  2.873  27

Structural model:
a b c (Å): 11.695 11.695 4.403
angles (deg): 90.00 90.00 158.68
Fractional positions:
Pr (0.178, 0.822, 0.000)
Pr (0.822, 0.178, 0.000)
Si (0.279, 0.721, 0.500)
Si (0.721, 0.279, 0.500)
Ni (0.376, 0.624, 0.500)
Ni (0.624, 0.376, 0.500)
Sn (0.063, 0.937, 0.500)
Sn (0.437, 0.563, 0.000)
Sn (0.563, 0.437, 0.000)
Sn (0.937, 0.063, 0.500)

---

For SrPrSi4Ni2, DFT lattice parameters and positions (GGA-PBE) gives the calculated powder X-ray diffraction pattern in this record (Cu Kα).
Kinematic intensities with the Lorentz-polarization factor, no thermal factor.

Top 6 peaks for 2θ = 5–70°, in order of falling intensity:
2θ (°)  d_spacing  Rel. int.
34.6  2.594  100
31.0  2.886  93
34.2  2.625  88
39.1  2.302  47
42.8  2.113  43
57.3  1.607  38

Structural model:
a b c (Å): 4.066 8.638 8.638
angles (deg): 28.31 90.00 90.00
Fractional positions:
Sr (0.000, 0.000, 0.000)
Pr (0.500, 0.215, 0.215)
Si (0.000, 0.355, 0.355)
Si (0.000, 0.649, 0.649)
Si (0.500, 0.566, 0.566)
Si (0.500, 0.855, 0.855)
Ni (0.000, 0.787, 0.787)
Ni (0.500, 0.423, 0.423)